[1]
Simulated X-ray powder pattern of Rb2V2Tc for Cu Kα X-rays, from a cell relaxed with PBE.

Crystal structure
Lattice parameters (Å, degrees): 6.360 6.360 6.571 90.00 90.00 90.00
Space group P4/mbm (No. 127)
Asymmetric unit:
Rb1 0.185 0.315 0.000 x4
V1 0.158 0.658 0.500 x4
Tc1 0.000 0.000 0.500 x2

Most intense lines, 10° ≤ 2θ ≤ 80°, sorted by position:
hkl, 2θ/deg, I/Imax
1 1 1, 24.0, 33
0 0 2, 27.1, 89
2 0 1, 31.3, 55
2 1 1, 34.4, 100
3 1 0, 45.1, 29
2 1 3, 52.8, 28
3 1 2, 53.4, 35
4 1 1, 61.8, 22



[2]
Simulated X-ray powder pattern of RbY2Tc for Cu Kα X-rays, from a cell relaxed with PBE.

Crystal structure
Lattice parameters (Å, degrees): 8.186 8.186 11.600 90.00 90.00 90.00
Space group I4_1/amd (No. 141, origin choice 2)
Asymmetric unit:
Rb1 0.000 0.250 0.375 x4
Y1 0.000 0.000 0.000 x8
Tc1 0.000 0.250 0.875 x4

Most intense lines, 10° ≤ 2θ ≤ 80°, sorted by position:
hkl, 2θ/deg, I/Imax
1 0 1, 13.2, 62
2 0 0, 21.7, 100
2 1 1, 25.5, 25
2 0 2, 26.7, 38
3 1 2, 38.1, 46
4 0 0, 44.2, 57
4 2 0, 49.8, 21
5 1 2, 59.7, 24